This entry pairs a crystal structure of Pa3Co7Ge2 with its computed X-ray powder pattern. Radiation: Cu Kα X-rays. Structure: a DFT-relaxed cell (GGA-PBE, Alexandria).
No peak broadening, texture or thermal motion is included.

Largest 12 diffraction maxima, most intense first, 10 to 90 degrees two-theta:
2θ (°)  d/Å  intensity
39.53  2.280  100.0
29.35  3.043  62.6
32.52  2.753  61.3
46.65  1.947  61.2
47.17  1.927  46.2
23.13  3.845  30.7
68.51  1.370  30.6
81.71  1.179  24.5
40.56  2.224  23.2
21.86  4.065  23.1
56.08  1.640  21.9
68.11  1.377  19.3

Cell and atoms:
Cell: 12.5026 12.5026 12.5026 Å, 162.08 162.08 25.45°
Fractional coordinates of all 12 atoms:
Pa: 0.0000 0.0000 0.0000
Pa: 0.1728 0.1728 0.0000
Pa: 0.8272 0.8272 0.0000
Co: 0.0766 0.5766 0.5000
Co: 0.2690 0.2690 0.0000
Co: 0.4234 0.9234 0.5000
Co: 0.5000 0.5000 0.0000
Co: 0.5766 0.0766 0.5000
Co: 0.7310 0.7310 0.0000
Co: 0.9234 0.4234 0.5000
Ge: 0.3709 0.3709 0.0000
Ge: 0.6291 0.6291 0.0000